Entry 1:
Structure and computed powder X-ray diffraction pattern of Nb2Sb (the PBE geometry in the Materials Project; copper Kα).
Neutral-atom scattering factors, no anomalous dispersion.

Most intense lines, 2θ = 10–90°, by angle:
- 2θ 33.91, intensity 20, hkl 1 0 -3
- 2θ 34.39, intensity 33, hkl 1 0 4
- 2θ 35.17, intensity 100, hkl 0 1 8
- 2θ 35.58, intensity 100, hkl 0 2 -5
- 2θ 36.94, intensity 47, hkl 1 1 5
- 2θ 38.86, intensity 46, hkl -1 1 4
- 2θ 39.11, intensity 43, hkl 1 2 -1
- 2θ 40.09, intensity 78, hkl 0 3 3
- 2θ 43.96, intensity 16, hkl 1 -2 2
- 2θ 53.49, intensity 26, hkl 1 1 -9
- 2θ 60.23, intensity 14, hkl 0 1 -13
- 2θ 63.78, intensity 14, hkl 2 1 2

Structure:
a = 2.938 Å, b = 6.947 Å, c = 21.205 Å
α = 83.21°, β = 86.29°, γ = 83.54°
Element x y z (fractional)
Nb 0.000 0.000 0.000
Nb 0.018 0.197 0.479
Nb 0.058 0.274 0.716
Nb 0.171 0.513 0.201
Nb 0.209 0.575 0.431
Nb 0.287 0.768 0.903
Nb 0.395 0.884 0.147
Nb 0.442 0.046 0.622
Nb 0.480 0.136 0.859
Nb 0.593 0.353 0.336
Nb 0.635 0.421 0.574
Nb 0.654 0.253 0.085
Nb 0.784 0.738 0.289
Nb 0.863 0.904 0.764
Sb 0.018 0.675 0.654
Sb 0.065 0.625 0.066
Sb 0.165 0.984 0.368
Sb 0.438 0.530 0.797
Sb 0.590 0.825 0.511
Sb 0.760 0.144 0.221
Sb 0.809 0.394 0.945

Entry 2:
Structure and computed powder X-ray diffraction pattern of Nb2SiSb2 (the PBE geometry in the Materials Project; copper Kα).
Neutral-atom scattering factors, no anomalous dispersion.

Most intense lines, 2θ = 10–90°, by angle:
- 2θ 11.97, intensity 21, hkl 0 0 2
- 2θ 24.08, intensity 38, hkl 0 0 4
- 2θ 30.23, intensity 18, hkl 0 0 5
- 2θ 31.12, intensity 100, hkl 1 0 0
- 2θ 36.47, intensity 13, hkl 0 0 6
- 2θ 39.73, intensity 40, hkl 1 0 4
- 2θ 43.93, intensity 25, hkl 1 0 5
- 2θ 44.59, intensity 36, hkl 1 1 0
- 2θ 48.68, intensity 22, hkl 1 0 6
- 2θ 51.30, intensity 19, hkl 1 1 4
- 2θ 54.81, intensity 13, hkl 1 1 5
- 2θ 73.71, intensity 16, hkl 2 1 0

Structure:
a = 2.874 Å, b = 2.874 Å, c = 14.784 Å
α = 90.00°, β = 90.00°, γ = 90.00°
Element x y z (fractional)
Nb 0.000 0.000 0.170
Nb 0.000 0.000 0.830
Si 0.000 0.000 0.000
Sb 0.000 0.000 0.367
Sb 0.000 0.000 0.633